Diffraction record for CsUH2Cl8. The powder diffractogram is simulated, not measured: it uses a crystal structure in Alexandria, relaxed with PBE and Cu Kα (λ = 1.5418 Å).
Peak positions follow from Bragg's law for the DFT cell and can differ from measured ones.

Atomic structure:
```
data_CsUH2Cl8
_symmetry_space_group_name_H-M 'P -1'
_symmetry_Int_Tables_number 2
_cell_length_a 6.966
_cell_length_b 7.116
_cell_length_c 9.513
_cell_angle_alpha 93.08
_cell_angle_beta 108.97
_cell_angle_gamma 103.32
loop_
_symmetry_equiv_pos_as_xyz
'x,y,z'
'-x,-y,-z'
loop_
_atom_site_label
_atom_site_type_symbol
_atom_site_fract_x
_atom_site_fract_y
_atom_site_fract_z
Cs1 Cs 0.000 0.000 0.000
U1 U 0.500 0.000 0.500
H1 H 0.014 0.432 0.734
Cl1 Cl 0.161 0.487 0.867
Cl2 Cl 0.180 0.129 0.393
Cl3 Cl 0.261 0.665 0.481
Cl4 Cl 0.491 0.917 0.234
```

Principal peaks in the range 2θ from 5° to 70°, by angle:
two_theta, d_spacing, I/Imax, (hkl)
9.9, 8.908, 42, 0 0 1
12.9, 6.857, 100, 0 1 0
14.0, 6.317, 93, 1 0 -1
17.5, 5.074, 58, -1 1 1
19.8, 4.489, 37, 1 0 1
19.9, 4.452, 48, 0 0 2
20.6, 4.304, 69, 1 1 -1
26.0, 3.428, 29, 0 2 0
27.7, 3.224, 36, 2 -1 0
28.4, 3.140, 41, 1 0 -3
31.5, 2.836, 31, -1 1 3
31.6, 2.827, 28, 1 2 -1